Record 1
Starting from a DFT-relaxed cell (GGA-PBE, Alexandria), the powder X-ray diffraction pattern of PuH2F6 was calculated for CuKα.
Neutral-atom scattering factors, no anomalous dispersion.

Crystal structure
abc: 10.826 7.628 5.604
angles: 90.00 110.98 90.00
Space group C2/c (No. 15)
Symmetry-distinct sites (fractional):
Pu1 0.000 0.174 0.250 x4
H1 0.124 0.445 0.002 x8
F1 0.118 0.026 0.605 x8
F2 0.119 0.309 0.016 x8
F3 0.124 0.385 0.483 x8

Peak list (12 most intense, 10° ≤ 2θ ≤ 80°, by angle)
two_theta	intensity	hkl
14.55	49	1 1 0
17.55	92	2 0 0
19.84	100	1 1 -1
24.71	65	1 1 1
28.39	40	3 1 -1
28.97	42	0 2 1
30.62	30	2 2 -1
38.45	21	3 1 1
40.33	21	2 2 -2
44.65	25	3 3 0
48.47	21	1 3 -2
51.00	22	0 4 1

***

Record 2
Starting from a DFT-relaxed cell (GGA-PBE, Alexandria), the powder X-ray diffraction pattern of TbTm3Hf2N6 was calculated for CuKα.
Neutral-atom scattering factors, no anomalous dispersion.

Crystal structure
abc: 14.554 3.335 6.704
angles: 90.00 103.32 90.00
Space group C2/m (No. 12)
Symmetry-distinct sites (fractional):
Tb1 0.000 0.000 0.000 x2
Tm1 0.000 0.000 0.500 x2
Tm2 0.167 0.500 0.833 x4
Hf1 0.167 0.500 0.335 x4
N1 0.008 0.500 0.260 x4
N2 0.170 0.000 0.100 x4
N3 0.171 0.000 0.574 x4

Peak list (10 most intense, 10° ≤ 2θ ≤ 80°, by angle)
two_theta	intensity	hkl
32.77	73	2 0 2
32.88	72	3 1 0
38.08	100	6 0 0
54.77	11	2 0 -4
54.97	45	5 1 2
55.08	11	0 2 0
65.38	21	1 1 4
65.57	42	8 0 2
68.69	11	8 0 -4
68.95	11	6 2 0

***

Record 3
Starting from a DFT-relaxed cell (GGA-PBE, Alexandria), the powder X-ray diffraction pattern of PuMnCu4 was calculated for CuKα.
Neutral-atom scattering factors, no anomalous dispersion.

Crystal structure
abc: 7.157 7.157 7.157
angles: 90.00 90.00 90.00
Space group F-43m (No. 216)
Symmetry-distinct sites (fractional):
Pu1 0.000 0.000 0.000 x4
Mn1 0.250 0.250 0.750 x4
Cu1 0.124 0.124 0.376 x16

Peak list (11 most intense, 10° ≤ 2θ ≤ 80°, by angle)
two_theta	intensity	hkl
21.50	25	1 1 1
24.88	24	2 0 0
35.48	50	2 2 0
41.86	100	3 1 1
43.82	24	2 2 2
56.00	8	3 3 1
57.59	10	4 2 0
63.70	18	4 2 2
68.07	31	5 1 1
75.08	20	4 4 0
79.17	6	5 3 1

***

Record 4
Starting from a DFT-relaxed cell (GGA-PBE, Alexandria), the powder X-ray diffraction pattern of DyY2Sn was calculated for CuKα.
Neutral-atom scattering factors, no anomalous dispersion.

Crystal structure
abc: 3.772 3.772 8.382
angles: 90.00 90.00 90.00
Space group P4/mmm (No. 123)
Symmetry-distinct sites (fractional):
Dy1 0.000 0.000 0.000 x1
Y1 0.500 0.500 0.279 x2
Sn1 0.000 0.000 0.500 x1

Peak list (12 most intense, 10° ≤ 2θ ≤ 80°, by angle)
two_theta	intensity	hkl
23.59	5	1 0 0
25.90	4	1 0 1
31.92	100	1 0 2
33.60	46	1 1 0
43.17	9	0 0 4
48.25	17	2 0 0
55.79	17	1 1 4
59.03	36	2 1 2
66.73	10	2 0 4
70.63	5	2 2 0
72.10	6	1 0 6
79.61	8	3 0 2

***

Record 5
Starting from a DFT-relaxed cell (GGA-PBE, Alexandria), the powder X-ray diffraction pattern of Ac5Hg2RuO was calculated for CuKα.
Neutral-atom scattering factors, no anomalous dispersion.

Crystal structure
abc: 4.275 19.386 14.578
angles: 90.00 90.00 90.00
Space group Cmc2_1 (No. 36)
Symmetry-distinct sites (fractional):
Ac1 0.000 0.003 0.000 x4
Ac2 0.000 0.149 0.226 x4
Ac3 0.000 0.191 0.601 x4
Ac4 0.000 0.212 0.879 x4
Ac5 0.000 0.451 0.229 x4
Hg1 0.000 0.368 0.543 x4
Hg2 0.000 0.389 0.905 x4
Ru1 0.000 0.293 0.240 x4
O1 0.000 0.056 0.644 x4

Peak list (12 most intense, 10° ≤ 2θ ≤ 80°, by angle)
two_theta	intensity	hkl
25.97	25	0 4 3
26.12	19	0 2 4
27.86	38	1 3 2
28.18	100	1 1 3
28.29	40	0 6 1
31.14	32	1 5 0
33.54	23	1 5 2
39.20	12	0 8 2
42.28	24	2 0 0
46.33	25	1 7 4
50.24	19	1 7 5
51.66	15	2 6 1

***

Record 6
Starting from a DFT-relaxed cell (GGA-PBE, Alexandria), the powder X-ray diffraction pattern of Na4BeF6 was calculated for CuKα.
Neutral-atom scattering factors, no anomalous dispersion.

Crystal structure
abc: 10.985 5.754 11.098
angles: 90.00 114.01 90.00
Space group Cc (No. 9)
Symmetry-distinct sites (fractional):
Na1 0.000 0.125 0.000 x4
Na2 0.175 0.214 0.333 x4
Na3 0.284 0.351 0.664 x4
Na4 0.466 0.142 0.207 x4
Be1 0.237 0.248 0.942 x4
F1 0.156 0.460 0.961 x4
F2 0.181 0.196 0.789 x4
F3 0.204 0.024 0.008 x4
F4 0.348 0.329 0.295 x4
F5 0.388 0.297 0.004 x4
F6 0.479 0.230 0.674 x4

Peak list (12 most intense, 10° ≤ 2θ ≤ 80°, by angle)
two_theta	intensity	hkl
19.17	41	2 0 -2
28.75	29	1 1 -3
28.98	33	3 1 -1
29.70	100	2 0 2
31.09	27	0 2 0
34.95	56	1 1 3
35.42	25	0 0 4
35.85	65	4 0 0
36.78	44	2 2 -2
40.35	35	2 2 -3
51.84	61	6 0 -4
54.45	24	3 3 -2

***

Record 7
Starting from a DFT-relaxed cell (GGA-PBE, Alexandria), the powder X-ray diffraction pattern of CsBaAu4O6 was calculated for CuKα.
Neutral-atom scattering factors, no anomalous dispersion.

Crystal structure
abc: 5.6752 5.6752 7.9803
angles: 90.00 90.00 120.00
Space group P6/mmm (No. 191)
Symmetry-distinct sites (fractional):
Cs1 0.0000 0.0000 0.0000 x1
Ba1 0.0000 0.0000 0.5000 x1
Au1 0.3333 0.6667 0.1636 x4
O1 0.0000 0.5000 0.4137 x6

Peak list (12 most intense, 10° ≤ 2θ ≤ 80°, by angle)
two_theta	intensity	hkl
11.09	33	0 0 1
21.23	15	1 0 1
28.82	45	1 0 2
31.53	100	1 1 0
33.52	31	1 1 1
33.69	17	0 0 3
38.48	17	1 0 3
43.24	19	2 0 2
46.81	41	1 1 3
54.49	15	2 1 2
56.14	20	3 0 0
79.60	16	1 1 6

***

Record 8
Starting from a DFT-relaxed cell (GGA-PBE, Alexandria), the powder X-ray diffraction pattern of SrAl12Ni4 was calculated for CuKα.
Neutral-atom scattering factors, no anomalous dispersion.

Crystal structure
abc: 8.912 8.912 8.912
angles: 90.00 90.00 90.00
Space group Im-3 (No. 204)
Symmetry-distinct sites (fractional):
Sr1 0.000 0.000 0.000 x2
Al1 0.000 0.249 0.314 x24
Ni1 0.250 0.250 0.250 x8

Peak list (12 most intense, 10° ≤ 2θ ≤ 80°, by angle)
two_theta	intensity	hkl
19.93	100	2 0 0
24.47	65	2 1 1
28.33	76	2 2 0
31.75	37	3 1 0
37.77	21	3 2 1
40.49	77	4 0 0
45.52	51	4 2 0
50.15	64	4 2 2
52.35	18	4 3 1
56.56	18	5 1 2
58.60	31	4 4 0
66.34	17	6 2 0